Entry 1:
Structure and calculated powder XRD pattern of Ga2Ge4Pb3O14 (DFT lattice parameters and positions (PBE); Cu Ka).

The 10 most intense peaks (2θ = 10–90°), in order of rising 2θ:
two_theta  intensity  index
24.06  18  2 0 0
27.44  99  1 1 1
30.03  100  2 0 1
32.01  37  2 1 0
35.84  20  0 0 2
44.14  30  3 1 0
47.91  36  3 1 1
48.81  29  1 2 2
57.32  21  2 3 1
58.11  18  1 3 2

Crystal structure
```
data_Ga2Ge4Pb3O14
_chemical_formula_sum 'Ga2 Ge4 Pb3 O14'
_cell_length_a 8.542
_cell_length_b 8.542
_cell_length_c 5.011
_cell_angle_alpha 90.00
_cell_angle_beta 90.00
_cell_angle_gamma 120.00
_symmetry_space_group_name_H-M 'P 1'
_symmetry_Int_Tables_number 1
loop_
_symmetry_equiv_pos_as_xyz
'x,y,z'
loop_
_atom_site_label
_atom_site_fract_x
_atom_site_fract_y
_atom_site_fract_z
Ga1 0.333 0.667 0.005
Ga2 0.667 0.333 0.995
Ge1 0.000 0.000 0.500
Ge2 0.000 0.245 0.000
Ge3 0.245 0.000 0.000
Ge4 0.755 0.755 0.000
Pb1 0.000 0.579 0.500
Pb2 0.421 0.421 0.500
Pb3 0.579 0.000 0.500
O1 0.090 0.883 0.733
O2 0.117 0.208 0.733
O3 0.162 0.447 0.165
O4 0.208 0.117 0.267
O5 0.285 0.838 0.165
O6 0.333 0.667 0.647
O7 0.447 0.162 0.835
O8 0.553 0.715 0.165
O9 0.667 0.333 0.353
O10 0.715 0.553 0.835
O11 0.792 0.910 0.733
O12 0.838 0.285 0.835
O13 0.883 0.090 0.267
O14 0.910 0.792 0.267
```



Entry 2:
Structure and calculated powder XRD pattern of V6SiSn (DFT lattice parameters and positions (PBE); Cu Ka).

The 10 most intense peaks (2θ = 10–90°), in order of rising 2θ:
two_theta  intensity  index
18.32  28  1 0 0
26.02  9  1 1 0
32.01  22  1 1 1
37.13  48  2 0 0
41.70  99  2 0 1
45.90  100  2 1 1
57.05  10  3 0 0
70.06  22  3 2 0
73.12  50  3 1 2
79.10  15  4 0 0

Crystal structure
```
data_V6SiSn
_chemical_formula_sum 'V6 Si1 Sn1'
_cell_length_a 4.843
_cell_length_b 4.843
_cell_length_c 4.843
_cell_angle_alpha 90.00
_cell_angle_beta 90.00
_cell_angle_gamma 90.00
_symmetry_space_group_name_H-M 'P 1'
_symmetry_Int_Tables_number 1
loop_
_symmetry_equiv_pos_as_xyz
'x,y,z'
loop_
_atom_site_label
_atom_site_fract_x
_atom_site_fract_y
_atom_site_fract_z
V1 0.000 0.235 0.500
V2 0.000 0.765 0.500
V3 0.235 0.500 0.000
V4 0.500 0.000 0.235
V5 0.500 0.000 0.765
V6 0.765 0.500 0.000
Si1 0.000 0.000 0.000
Sn1 0.500 0.500 0.500
```



Entry 3:
Structure and calculated powder XRD pattern of YAl3C3 (DFT lattice parameters and positions (PBE); Cu Ka).

The 10 most intense peaks (2θ = 10–90°), in order of rising 2θ:
two_theta  intensity  index
10.20  52  0 0 2
20.48  16  0 0 4
31.77  100  1 0 2
36.60  63  1 0 4
39.90  16  1 0 5
41.66  19  0 0 8
43.63  39  1 0 6
53.27  36  1 1 0
61.91  16  1 0 10
69.81  23  1 1 8

Crystal structure
```
data_YAl3C3
_chemical_formula_sum 'Y2 Al6 C6'
_cell_length_a 3.439
_cell_length_b 3.439
_cell_length_c 17.344
_cell_angle_alpha 90.00
_cell_angle_beta 90.00
_cell_angle_gamma 120.00
_symmetry_space_group_name_H-M 'P 1'
_symmetry_Int_Tables_number 1
loop_
_symmetry_equiv_pos_as_xyz
'x,y,z'
loop_
_atom_site_label
_atom_site_fract_x
_atom_site_fract_y
_atom_site_fract_z
Y1 0.000 0.000 0.000
Y2 0.000 0.000 0.500
Al1 0.333 0.667 0.136
Al2 0.333 0.667 0.364
Al3 0.333 0.667 0.745
Al4 0.667 0.333 0.245
Al5 0.667 0.333 0.636
Al6 0.667 0.333 0.864
C1 0.333 0.667 0.250
C2 0.333 0.667 0.593
C3 0.333 0.667 0.907
C4 0.667 0.333 0.093
C5 0.667 0.333 0.407
C6 0.667 0.333 0.750
```



Entry 4:
Structure and calculated powder XRD pattern of MgO2 (DFT lattice parameters and positions (PBE); Cu Ka).

The 10 most intense peaks (2θ = 10–90°), in order of rising 2θ:
two_theta  intensity  index
25.49  13  0 0 3
36.59  100  0 1 2
47.70  8  1 0 4
54.85  26  0 1 5
57.42  34  1 1 0
63.83  7  1 1 3
70.04  11  2 0 2
71.58  15  1 0 7
82.89  2  0 0 9
83.45  6  2 0 5

Crystal structure
```
data_MgO2
_chemical_formula_sum 'Mg3 O6'
_cell_length_a 3.210
_cell_length_b 3.210
_cell_length_c 10.482
_cell_angle_alpha 90.00
_cell_angle_beta 90.00
_cell_angle_gamma 120.00
_symmetry_space_group_name_H-M 'P 1'
_symmetry_Int_Tables_number 1
loop_
_symmetry_equiv_pos_as_xyz
'x,y,z'
loop_
_atom_site_label
_atom_site_fract_x
_atom_site_fract_y
_atom_site_fract_z
Mg1 0.000 0.000 0.000
Mg2 0.333 0.667 0.667
Mg3 0.667 0.333 0.333
O1 0.000 0.000 0.429
O2 0.000 0.000 0.571
O3 0.333 0.667 0.095
O4 0.333 0.667 0.238
O5 0.667 0.333 0.762
O6 0.667 0.333 0.905
```



Entry 5:
Structure and calculated powder XRD pattern of CuSnO12 (DFT lattice parameters and positions (PBE); Cu Ka).

The 10 most intense peaks (2θ = 10–90°), in order of rising 2θ:
two_theta  intensity  index
15.83  100  1 1 0
21.24  42  0 0 2
22.46  80  2 0 0
27.35  34  2 1 1
31.11  26  2 0 2
35.87  52  3 1 0
42.06  43  3 1 2
46.35  18  1 1 4
49.28  17  2 0 4
57.41  19  3 1 4

Crystal structure
```
data_CuSnO12
_chemical_formula_sum 'Cu2 Sn2 O24'
_cell_length_a 7.917
_cell_length_b 7.917
_cell_length_c 8.365
_cell_angle_alpha 90.00
_cell_angle_beta 90.00
_cell_angle_gamma 90.00
_symmetry_space_group_name_H-M 'P 1'
_symmetry_Int_Tables_number 1
loop_
_symmetry_equiv_pos_as_xyz
'x,y,z'
loop_
_atom_site_label
_atom_site_fract_x
_atom_site_fract_y
_atom_site_fract_z
Cu1 0.250 0.750 0.250
Cu2 0.750 0.250 0.750
Sn1 0.250 0.750 0.750
Sn2 0.750 0.250 0.250
O1 0.078 0.189 0.703
O2 0.078 0.311 0.797
O3 0.186 0.686 0.486
O4 0.186 0.814 0.014
O5 0.189 0.078 0.297
O6 0.189 0.422 0.203
O7 0.311 0.078 0.203
O8 0.311 0.422 0.297
O9 0.314 0.686 0.014
O10 0.314 0.814 0.486
O11 0.422 0.189 0.797
O12 0.422 0.311 0.703
O13 0.578 0.689 0.297
O14 0.578 0.811 0.203
O15 0.686 0.186 0.514
O16 0.686 0.314 0.986
O17 0.689 0.578 0.703
O18 0.689 0.922 0.797
O19 0.811 0.578 0.797
O20 0.811 0.922 0.703
O21 0.814 0.186 0.986
O22 0.814 0.314 0.514
O23 0.922 0.689 0.203
O24 0.922 0.811 0.297
```



Entry 6:
Structure and calculated powder XRD pattern of HfI3 (DFT lattice parameters and positions (PBE); Cu Ka).

The 10 most intense peaks (2θ = 10–90°), in order of rising 2θ:
two_theta  intensity  index
13.07  100  1 0 0
26.61  87  1 1 1
35.96  50  1 1 2
38.41  18  2 0 2
39.93  39  3 0 0
45.10  17  2 1 2
48.05  17  1 1 3
48.64  14  2 2 1
54.81  14  2 2 2
71.60  14  3 0 4

Crystal structure
```
data_HfI3
_chemical_formula_sum 'Hf2 I6'
_cell_length_a 7.820
_cell_length_b 7.820
_cell_length_c 6.492
_cell_angle_alpha 90.00
_cell_angle_beta 90.00
_cell_angle_gamma 120.00
_symmetry_space_group_name_H-M 'P 1'
_symmetry_Int_Tables_number 1
loop_
_symmetry_equiv_pos_as_xyz
'x,y,z'
loop_
_atom_site_label
_atom_site_fract_x
_atom_site_fract_y
_atom_site_fract_z
Hf1 0.000 0.000 0.000
Hf2 0.000 0.000 0.500
I1 0.000 0.307 0.250
I2 0.000 0.693 0.750
I3 0.307 0.000 0.250
I4 0.307 0.307 0.750
I5 0.693 0.000 0.750
I6 0.693 0.693 0.250
```



Repeat the first record exactly.
Structure and calculated powder XRD pattern of Ga2Ge4Pb3O14 (DFT lattice parameters and positions (PBE); Cu Ka).

The 10 most intense peaks (2θ = 10–90°), in order of rising 2θ:
two_theta  intensity  index
24.06  18  2 0 0
27.44  99  1 1 1
30.03  100  2 0 1
32.01  37  2 1 0
35.84  20  0 0 2
44.14  30  3 1 0
47.91  36  3 1 1
48.81  29  1 2 2
57.32  21  2 3 1
58.11  18  1 3 2

Crystal structure
```
data_Ga2Ge4Pb3O14
_chemical_formula_sum 'Ga2 Ge4 Pb3 O14'
_cell_length_a 8.542
_cell_length_b 8.542
_cell_length_c 5.011
_cell_angle_alpha 90.00
_cell_angle_beta 90.00
_cell_angle_gamma 120.00
_symmetry_space_group_name_H-M 'P 1'
_symmetry_Int_Tables_number 1
loop_
_symmetry_equiv_pos_as_xyz
'x,y,z'
loop_
_atom_site_label
_atom_site_fract_x
_atom_site_fract_y
_atom_site_fract_z
Ga1 0.333 0.667 0.005
Ga2 0.667 0.333 0.995
Ge1 0.000 0.000 0.500
Ge2 0.000 0.245 0.000
Ge3 0.245 0.000 0.000
Ge4 0.755 0.755 0.000
Pb1 0.000 0.579 0.500
Pb2 0.421 0.421 0.500
Pb3 0.579 0.000 0.500
O1 0.090 0.883 0.733
O2 0.117 0.208 0.733
O3 0.162 0.447 0.165
O4 0.208 0.117 0.267
O5 0.285 0.838 0.165
O6 0.333 0.667 0.647
O7 0.447 0.162 0.835
O8 0.553 0.715 0.165
O9 0.667 0.333 0.353
O10 0.715 0.553 0.835
O11 0.792 0.910 0.733
O12 0.838 0.285 0.835
O13 0.883 0.090 0.267
O14 0.910 0.792 0.267
```



Q: What is the formula in the fifth record?
A: CuSnO12